Computed powder diffractogram of HfCd for Cu Kα, 1.54184 Å, from a crystal structure in the Materials Project, relaxed with PBE.
Peak positions follow from Bragg's law for the DFT cell and can differ from measured ones.

Principal peaks in the range 15° ≤ 2θ ≤ 90°, low angle first:
Position (°2θ), I/Imax, hkl
35.04, 100, 1 0 2
39.31, 18, 0 0 4
41.35, 32, 1 1 0
41.57, 3, 1 0 3
58.37, 22, 1 1 4
59.91, 11, 2 0 0
68.51, 13, 1 0 6
71.33, 25, 2 1 2
74.03, 11, 2 0 4
89.84, 4, 2 2 0

Structure:
```
data_HfCd
_cell_length_a 3.088
_cell_length_b 3.088
_cell_length_c 9.169
_cell_angle_alpha 90.00
_cell_angle_beta 90.00
_cell_angle_gamma 90.00
_symmetry_space_group_name_H-M 'P 4/n m m'
_symmetry_Int_Tables_number 129
loop_
_symmetry_equiv_pos_as_xyz
'x,y,z'
'-x,-y,-z'
'-y+1/2,x,z'
'y+1/2,-x,-z'
'-x+1/2,-y+1/2,z'
'x+1/2,y+1/2,-z'
'y,-x+1/2,z'
'-y,x+1/2,-z'
'x+1/2,-y,-z'
'-x+1/2,y,z'
'-y,-x,-z'
'y,x,z'
'-x,y+1/2,-z'
'x,-y+1/2,z'
'y+1/2,x+1/2,-z'
'-y+1/2,-x+1/2,z'
loop_
_atom_site_label
_atom_site_fract_x
_atom_site_fract_y
_atom_site_fract_z
_atom_site_occupancy
Hf1 0.250 0.250 0.117 1
Cd1 0.250 0.250 0.624 1
```

Computed powder diffractogram of HfCd for Cu Kα, 1.54184 Å, from a crystal structure in the Materials Project, relaxed with PBE.
Peak positions follow from Bragg's law for the DFT cell and can differ from measured ones.

Principal peaks in the range 15° ≤ 2θ ≤ 90°, low angle first:
Position (°2θ), I/Imax, hkl
30.14, 52, 0 0 4
30.67, 100, 1 0 0
43.54, 76, 1 0 4
43.93, 37, 1 1 0
54.20, 40, 1 1 4
71.39, 17, 1 0 8
72.23, 17, 2 0 4
72.51, 17, 2 1 0
79.67, 13, 1 1 8
80.49, 25, 2 1 4

Structure:
```
data_HfCd
_cell_length_a 2.915
_cell_length_b 2.915
_cell_length_c 11.859
_cell_angle_alpha 90.00
_cell_angle_beta 90.00
_cell_angle_gamma 90.00
_symmetry_space_group_name_H-M 'P 4/m m m'
_symmetry_Int_Tables_number 123
_symmetry_space_group_name_Hall '-P 4 2'
loop_
_atom_site_label
_atom_site_fract_x
_atom_site_fract_y
_atom_site_fract_z
_atom_site_occupancy
Hf1 0.000 0.000 0.123 1
Cd1 0.000 0.000 0.376 1
```

Computed powder diffractogram of HfMg6Cd for Cu Kα, 1.54184 Å, from a crystal structure in the Materials Project, relaxed with PBE.
Peak positions follow from Bragg's law for the DFT cell and can differ from measured ones.

Principal peaks in the range 15° ≤ 2θ ≤ 90°, low angle first:
Position (°2θ), I/Imax, hkl
16.05, 96, 0 1 1
23.91, 49, 1 0 2
32.42, 25, 0 2 2
33.24, 35, 1 1 3
35.68, 25, 2 0 0
37.13, 100, 1 0 4
39.35, 21, 2 1 1
47.09, 17, 1 2 4
48.97, 16, 2 2 2
65.04, 19, 3 0 4

Structure:
```
data_HfMg6Cd
_cell_length_a 5.033
_cell_length_b 6.368
_cell_length_c 11.068
_cell_angle_alpha 90.00
_cell_angle_beta 90.00
_cell_angle_gamma 90.00
_symmetry_space_group_name_H-M 'A m m 2'
_symmetry_Int_Tables_number 38
loop_
_symmetry_equiv_pos_as_xyz
'x,y,z'
'-x,-y,z'
'-x,y,z'
'x,-y,z'
'x,y+1/2,z+1/2'
'-x,-y+1/2,z+1/2'
'-x,y+1/2,z+1/2'
'x,-y+1/2,z+1/2'
loop_
_atom_site_label
_atom_site_fract_x
_atom_site_fract_y
_atom_site_fract_z
_atom_site_occupancy
Hf1 0.000 0.000 0.000 1
Mg1 0.000 0.000 0.496 1
Mg2 0.000 0.248 0.249 1
Mg3 0.500 0.000 0.663 1
Mg4 0.500 0.247 0.914 1
Cd1 0.500 0.000 0.158 1
```

Computed powder diffractogram of HfMg6Cd for Cu Kα, 1.54184 Å, from a crystal structure in the Materials Project, relaxed with PBE.
Peak positions follow from Bragg's law for the DFT cell and can differ from measured ones.

Principal peaks in the range 15° ≤ 2θ ≤ 90°, low angle first:
Position (°2θ), I/Imax, hkl
15.84, 74, 0 0 2
17.56, 58, 1 0 0
23.73, 56, 1 0 2
32.00, 21, 0 0 4
32.79, 42, 0 2 2
33.69, 24, 1 2 0
35.55, 36, 2 0 0
36.73, 55, 1 0 4
37.43, 100, 1 2 2
49.14, 27, 2 2 2

Structure:
```
data_HfMg6Cd
_cell_length_a 5.051
_cell_length_b 6.259
_cell_length_c 11.187
_cell_angle_alpha 90.00
_cell_angle_beta 90.00
_cell_angle_gamma 90.00
_symmetry_space_group_name_H-M 'A m m 2'
_symmetry_Int_Tables_number 38
loop_
_symmetry_equiv_pos_as_xyz
'x,y,z'
'-x,-y,z'
'-x,y,z'
'x,-y,z'
'x,y+1/2,z+1/2'
'-x,-y+1/2,z+1/2'
'-x,y+1/2,z+1/2'
'x,-y+1/2,z+1/2'
loop_
_atom_site_label
_atom_site_fract_x
_atom_site_fract_y
_atom_site_fract_z
_atom_site_occupancy
Hf1 0.000 0.000 0.000 1
Mg1 0.000 0.248 0.249 1
Mg2 0.500 0.000 0.159 1
Mg3 0.500 0.000 0.662 1
Mg4 0.500 0.245 0.914 1
Cd1 0.000 0.000 0.495 1
```

Please write out number 1 again, unchanged.
Computed powder diffractogram of HfCd for Cu Kα, 1.54184 Å, from a crystal structure in the Materials Project, relaxed with PBE.
Peak positions follow from Bragg's law for the DFT cell and can differ from measured ones.

Principal peaks in the range 15° ≤ 2θ ≤ 90°, low angle first:
Position (°2θ), I/Imax, hkl
35.04, 100, 1 0 2
39.31, 18, 0 0 4
41.35, 32, 1 1 0
41.57, 3, 1 0 3
58.37, 22, 1 1 4
59.91, 11, 2 0 0
68.51, 13, 1 0 6
71.33, 25, 2 1 2
74.03, 11, 2 0 4
89.84, 4, 2 2 0

Structure:
```
data_HfCd
_cell_length_a 3.088
_cell_length_b 3.088
_cell_length_c 9.169
_cell_angle_alpha 90.00
_cell_angle_beta 90.00
_cell_angle_gamma 90.00
_symmetry_space_group_name_H-M 'P 4/n m m'
_symmetry_Int_Tables_number 129
loop_
_symmetry_equiv_pos_as_xyz
'x,y,z'
'-x,-y,-z'
'-y+1/2,x,z'
'y+1/2,-x,-z'
'-x+1/2,-y+1/2,z'
'x+1/2,y+1/2,-z'
'y,-x+1/2,z'
'-y,x+1/2,-z'
'x+1/2,-y,-z'
'-x+1/2,y,z'
'-y,-x,-z'
'y,x,z'
'-x,y+1/2,-z'
'x,-y+1/2,z'
'y+1/2,x+1/2,-z'
'-y+1/2,-x+1/2,z'
loop_
_atom_site_label
_atom_site_fract_x
_atom_site_fract_y
_atom_site_fract_z
_atom_site_occupancy
Hf1 0.250 0.250 0.117 1
Cd1 0.250 0.250 0.624 1
```

Q: Which formula does entry 2 have?
A: HfCd